Record 1
VCu2Au: simulated X-ray powder pattern (a wavelength of 1.5418 Å), based on DFT lattice parameters and positions (GGA-PBE).
Kinematic intensities with the Lorentz-polarization factor, no thermal factor.

Atomic structure:
Cell lengths 9.7484, 9.7484, 9.7484 Å; angles 15.77, 15.77, 15.77 degrees
Sites, in units of the cell vectors:
V 0.0000 0.0000 0.0000
Cu 0.0837 0.0837 0.0837
Cu 0.9163 0.9163 0.9163
Au 0.5000 0.5000 0.5000

Principal peaks in the range 10° ≤ 2θ ≤ 90°, low angle first:
two_theta  intensity
18.4  259
37.4  575
39.4  1000
40.9  285
42.0  605
44.9  494
50.5  492
60.1  276
70.4  255
82.5  330

Record 2
Ac3Cu3Ir2: simulated X-ray powder pattern (a wavelength of 1.5418 Å), based on DFT lattice parameters and positions (GGA-PBE).
Kinematic intensities with the Lorentz-polarization factor, no thermal factor.

Atomic structure:
Cell lengths 5.9782, 5.9782, 16.1553 Å; angles 90.00, 90.00, 137.28 degrees
Sites, in units of the cell vectors:
Ac 0.0814 0.9186 0.7500
Ac 0.3590 0.6410 0.5843
Ac 0.3590 0.6410 0.9157
Ac 0.6410 0.3590 0.0843
Ac 0.6410 0.3590 0.4157
Ac 0.9186 0.0814 0.2500
Cu 0.0739 0.9261 0.5562
Cu 0.0739 0.9261 0.9438
Cu 0.2121 0.7879 0.2500
Cu 0.7879 0.2121 0.7500
Cu 0.9261 0.0739 0.0562
Cu 0.9261 0.0739 0.4438
Ir 0.3425 0.6575 0.1171
Ir 0.3425 0.6575 0.3829
Ir 0.6575 0.3425 0.6171
Ir 0.6575 0.3425 0.8829

Principal peaks in the range 10° ≤ 2θ ≤ 90°, low angle first:
two_theta  intensity
16.8  292
24.6  398
31.3  1000
31.7  814
32.2  810
33.3  533
35.5  387
38.9  608
41.5  547
42.5  377

Record 3
Ce2Mn3C4: simulated X-ray powder pattern (a wavelength of 1.5418 Å), based on DFT lattice parameters and positions (GGA-PBE).
Kinematic intensities with the Lorentz-polarization factor, no thermal factor.

Atomic structure:
Cell lengths 8.8996, 8.8996, 8.8996 Å; angles 156.12, 156.12, 34.02 degrees
Sites, in units of the cell vectors:
Ce 0.1034 0.1034 0.0000
Ce 0.8966 0.8966 0.0000
Mn 0.2500 0.7500 0.5000
Mn 0.5000 0.5000 0.0000
Mn 0.7500 0.2500 0.5000
C 0.0000 0.5000 0.5000
C 0.2907 0.2907 0.0000
C 0.5000 0.0000 0.5000
C 0.7093 0.7093 0.0000

Principal peaks in the range 10° ≤ 2θ ≤ 90°, low angle first:
two_theta  intensity
24.7  531
28.9  296
31.5  161
34.4  222
35.9  1000
36.1  329
40.6  525
49.5  365
62.7  375
65.5  275

Record 4
La2PmHoSe5: simulated X-ray powder pattern (a wavelength of 1.5418 Å), based on DFT lattice parameters and positions (GGA-PBE).
Kinematic intensities with the Lorentz-polarization factor, no thermal factor.

Atomic structure:
Cell lengths 5.1172, 5.1172, 10.9310 Å; angles 90.00, 90.00, 90.00 degrees
Sites, in units of the cell vectors:
La 0.0000 0.0000 0.1878
La 0.0000 0.0000 0.8122
Pm 0.5000 0.5000 0.5000
Ho 0.5000 0.5000 0.0000
Se 0.0000 0.0000 0.5000
Se 0.0000 0.5000 0.0000
Se 0.5000 0.0000 0.0000
Se 0.5000 0.5000 0.2509
Se 0.5000 0.5000 0.7491

Principal peaks in the range 10° ≤ 2θ ≤ 90°, low angle first:
two_theta  intensity
23.8  337
24.6  1000
30.1  334
32.8  275
34.9  409
35.1  874
37.3  229
48.8  358
50.4  309
56.9  208

Record 5
MgCO3: simulated X-ray powder pattern (a wavelength of 1.5418 Å), based on DFT lattice parameters and positions (GGA-PBE).
Kinematic intensities with the Lorentz-polarization factor, no thermal factor.

Atomic structure:
Cell lengths 5.9367, 7.6500, 4.3885 Å; angles 90.00, 90.00, 90.00 degrees
Sites, in units of the cell vectors:
Mg 0.0000 0.0000 0.0000
Mg 0.0000 0.5000 0.0000
Mg 0.5000 0.0000 0.5000
Mg 0.5000 0.5000 0.5000
C 0.1352 0.2500 0.4950
C 0.3648 0.7500 0.9950
C 0.6352 0.2500 0.0050
C 0.8648 0.7500 0.5050
O 0.0497 0.2500 0.2248
O 0.1828 0.1032 0.6299
O 0.1828 0.3968 0.6299
O 0.3172 0.6032 0.1299
O 0.3172 0.8968 0.1299
O 0.4503 0.7500 0.7248
O 0.5497 0.2500 0.2752
O 0.6828 0.1032 0.8701
O 0.6828 0.3968 0.8701
O 0.8172 0.6032 0.3701
O 0.8172 0.8968 0.3701
O 0.9503 0.7500 0.7752

Principal peaks in the range 10° ≤ 2θ ≤ 90°, low angle first:
two_theta  intensity
27.8  1000
32.4  990
34.6  969
38.5  501
40.9  552
44.0  270
50.6  592
54.6  271
57.3  370
57.5  404

Record 6
Th4SbC: simulated X-ray powder pattern (a wavelength of 1.5418 Å), based on DFT lattice parameters and positions (GGA-PBE).
Kinematic intensities with the Lorentz-polarization factor, no thermal factor.

Atomic structure:
Cell lengths 6.2796, 7.2907, 8.0747 Å; angles 105.15, 112.79, 90.05 degrees
Sites, in units of the cell vectors:
Th 0.0110 0.4651 0.1915
Th 0.1807 0.9643 0.1914
Th 0.2322 0.8366 0.6189
Th 0.3865 0.3364 0.6183
Th 0.6135 0.6636 0.3817
Th 0.7678 0.1634 0.3811
Th 0.8193 0.0357 0.8086
Th 0.9890 0.5349 0.8085
Sb 0.3848 0.2501 0.0001
Sb 0.6152 0.7499 0.9999
C 0.0000 0.5000 0.5000
C 0.5000 0.0000 0.5000

Principal peaks in the range 10° ≤ 2θ ≤ 90°, low angle first:
two_theta  intensity
28.4  191
29.2  409
30.3  662
31.4  1000
32.3  941
34.5  758
40.1  180
50.8  356
52.3  174
58.4  211

Please write out number 1 again, unchanged.
VCu2Au: simulated X-ray powder pattern (a wavelength of 1.5418 Å), based on DFT lattice parameters and positions (GGA-PBE).
Kinematic intensities with the Lorentz-polarization factor, no thermal factor.

Atomic structure:
Cell lengths 9.7484, 9.7484, 9.7484 Å; angles 15.77, 15.77, 15.77 degrees
Sites, in units of the cell vectors:
V 0.0000 0.0000 0.0000
Cu 0.0837 0.0837 0.0837
Cu 0.9163 0.9163 0.9163
Au 0.5000 0.5000 0.5000

Principal peaks in the range 10° ≤ 2θ ≤ 90°, low angle first:
two_theta  intensity
18.4  259
37.4  575
39.4  1000
40.9  285
42.0  605
44.9  494
50.5  492
60.1  276
70.4  255
82.5  330

> What is the formula in the sixth record?

Th4SbC